Simulated XRD peak list of CaCuGe for Cu Kα X-rays, from a GGA-PBE-relaxed structure.

Main lines, low angle first (10 to 80 degrees two-theta):
- 24.88 deg, intensity 22, hkl 6 0 0
- 33.91 deg, intensity 27, hkl 3 2 1
- 34.58 deg, intensity 100, hkl 6 1 1
- 39.64 deg, intensity 30, hkl 9 1 0
- 41.42 deg, intensity 37, hkl 0 0 2
- 41.61 deg, intensity 63, hkl 0 3 1
- 49.09 deg, intensity 19, hkl 6 3 1
- 49.89 deg, intensity 16, hkl 9 2 1
- 58.67 deg, intensity 18, hkl 9 1 2
- 66.97 deg, intensity 17, hkl 9 4 1

Cell and atoms:
Cell: 21.471 7.507 4.360 Å, 90.00 90.00 90.00°
Space group Pna2_1 (No. 33)
Symmetry-distinct sites (fractional):
Ca 0.001 0.215 0.000 x4
Ca 0.166 0.293 0.997 x4
Ca 0.167 0.706 0.496 x4
Cu 0.063 0.422 0.490 x4
Cu 0.097 0.916 0.986 x4
Cu 0.235 0.913 0.990 x4
Ge 0.070 0.591 0.991 x4
Ge 0.102 0.085 0.491 x4
Ge 0.230 0.080 0.490 x4

Simulated XRD peak list of Cs3Te22 for Cu Kα X-rays, from a GGA-PBE-relaxed structure.

Main lines, low angle first (10 to 80 degrees two-theta):
- 24.21 deg, intensity 100, hkl 1 2 0
- 24.26 deg, intensity 57, hkl 2 -1 2
- 25.65 deg, intensity 32, hkl 0 0 3
- 29.70 deg, intensity 56, hkl 1 2 -1
- 29.79 deg, intensity 98, hkl 1 2 4
- 30.43 deg, intensity 77, hkl -1 3 2
- 30.48 deg, intensity 35, hkl 3 1 3
- 41.68 deg, intensity 28, hkl 2 4 3
- 45.66 deg, intensity 31, hkl 3 1 -2
- 45.80 deg, intensity 34, hkl -1 3 5

Cell and atoms:
Cell: 9.670 9.689 12.447 Å, 67.22 67.21 89.86°
Space group P1 (No. 1)
Symmetry-distinct sites (fractional):
Cs 0.000 0.000 0.000 x1
Cs 0.323 0.327 0.348 x1
Cs 0.674 0.674 0.649 x1
Te 0.003 0.502 0.001 x1
Te 0.027 0.173 0.230 x1
Te 0.093 0.494 0.615 x1
Te 0.108 0.909 0.381 x1
Te 0.174 0.744 0.229 x1
Te 0.262 0.405 0.764 x1
Te 0.292 0.896 0.612 x1
Te 0.305 0.604 0.999 x1
Te 0.401 0.309 0.998 x1
Te 0.403 0.973 0.766 x1
Te 0.492 0.289 0.614 x1
Te 0.501 0.002 0.000 x1
Te 0.510 0.713 0.382 x1
Te 0.596 0.028 0.230 x1
Te 0.605 0.697 0.998 x1
Te 0.693 0.402 0.000 x1
Te 0.710 0.108 0.383 x1
Te 0.741 0.598 0.232 x1
Te 0.831 0.261 0.766 x1
Te 0.891 0.095 0.614 x1
Te 0.910 0.512 0.381 x1
Te 0.974 0.833 0.763 x1

Simulated XRD peak list of BeAsRu2 for Cu Kα X-rays, from a GGA-PBE-relaxed structure.

Main lines, low angle first (10 to 80 degrees two-theta):
- 26.41 deg, intensity 16, hkl 1 1 1
- 30.59 deg, intensity 25, hkl 2 0 0
- 43.81 deg, intensity 100, hkl 2 2 0
- 51.89 deg, intensity 7, hkl 3 1 1
- 54.38 deg, intensity 6, hkl 2 2 2
- 63.69 deg, intensity 16, hkl 4 0 0
- 70.19 deg, intensity 3, hkl 3 3 1
- 72.30 deg, intensity 8, hkl 4 2 0

Cell and atoms:
Cell: 5.845 5.845 5.845 Å, 90.00 90.00 90.00°
Space group Fm-3m (No. 225)
Symmetry-distinct sites (fractional):
Be 0.000 0.000 0.000 x4
As 0.000 0.000 0.500 x4
Ru 0.250 0.250 0.250 x8

Simulated XRD peak list of InS3N3O12 for Cu Kα X-rays, from a GGA-PBE-relaxed structure.

Main lines, low angle first (10 to 80 degrees two-theta):
- 11.07 deg, intensity 100, hkl 1 1 0
- 19.23 deg, intensity 9, hkl 3 0 0
- 19.38 deg, intensity 14, hkl 2 1 1
- 22.75 deg, intensity 11, hkl 2 0 2
- 25.02 deg, intensity 14, hkl 1 3 1
- 25.37 deg, intensity 38, hkl 1 2 2
- 29.56 deg, intensity 7, hkl 4 1 0
- 29.96 deg, intensity 17, hkl 3 1 2
- 33.98 deg, intensity 9, hkl 2 3 2
- 40.99 deg, intensity 8, hkl 1 5 2

Cell and atoms:
Cell: 15.9908 15.9908 9.4681 Å, 90.00 90.00 120.00°
Space group R3c (No. 161, hexagonal axes)
Symmetry-distinct sites (fractional):
In 0.0000 0.0000 0.0000 x6
S 0.1697 0.0247 0.2428 x18
N 0.0266 0.4408 0.2723 x18
O 0.0195 0.2505 0.2562 x18
O 0.0284 0.1210 0.1351 x18
O 0.1238 0.0210 0.3815 x18
O 0.2073 0.4291 0.3676 x18

Simulated XRD peak list of RhI2 for Cu Kα X-rays, from a GGA-PBE-relaxed structure.

Main lines, low angle first (10 to 80 degrees two-theta):
- 19.60 deg, intensity 49, hkl 1 1 0
- 29.03 deg, intensity 100, hkl 1 1 1
- 31.22 deg, intensity 38, hkl 2 1 0
- 38.05 deg, intensity 57, hkl 2 1 1
- 39.80 deg, intensity 28, hkl 2 2 0
- 43.19 deg, intensity 22, hkl 0 0 2
- 47.82 deg, intensity 61, hkl 3 0 1
- 54.25 deg, intensity 16, hkl 2 1 2
- 60.18 deg, intensity 16, hkl 2 2 2
- 78.00 deg, intensity 17, hkl 3 3 2

Cell and atoms:
Cell: 6.406 6.406 4.189 Å, 90.00 90.00 90.00°
Space group P4_2/mnm (No. 136)
Symmetry-distinct sites (fractional):
Rh 0.000 0.000 0.000 x2
I 0.195 0.195 0.500 x4

Simulated XRD peak list of EuGa3Ni2 for Cu Kα X-rays, from a GGA-PBE-relaxed structure.

Main lines, low angle first (10 to 80 degrees two-theta):
- 33.83 deg, intensity 100, hkl 2 2 1
- 34.82 deg, intensity 13, hkl 0 0 2
- 35.59 deg, intensity 43, hkl 4 0 0
- 39.27 deg, intensity 16, hkl 2 0 2
- 42.00 deg, intensity 20, hkl 0 2 2
- 45.86 deg, intensity 20, hkl 2 2 2
- 46.33 deg, intensity 13, hkl 4 2 1
- 50.64 deg, intensity 15, hkl 4 0 2
- 57.80 deg, intensity 15, hkl 5 3 0
- 61.80 deg, intensity 17, hkl 2 2 3

Cell and atoms:
Cell: 10.085 7.820 5.153 Å, 90.00 90.00 90.00°
Space group Cmcm (No. 63)
Symmetry-distinct sites (fractional):
Eu 0.000 0.162 0.250 x4
Ga 0.000 0.439 0.750 x4
Ga 0.192 0.217 0.750 x8
Ni 0.201 0.500 0.000 x8

Simulated XRD peak list of SrRuO3 for Cu Kα X-rays, from a GGA-PBE-relaxed structure.

Main lines, low angle first (10 to 80 degrees two-theta):
- 31.69 deg, intensity 100, hkl 1 1 2
- 32.10 deg, intensity 54, hkl 2 0 0
- 44.83 deg, intensity 18, hkl 0 0 4
- 46.03 deg, intensity 31, hkl 2 2 0
- 56.20 deg, intensity 22, hkl 2 0 4
- 56.97 deg, intensity 42, hkl 3 1 2
- 66.20 deg, intensity 19, hkl 2 2 4
- 67.14 deg, intensity 9, hkl 4 0 0
- 74.38 deg, intensity 9, hkl 1 1 6
- 76.37 deg, intensity 10, hkl 4 2 0

Cell and atoms:
Cell: 5.577 5.577 8.087 Å, 90.00 90.00 90.00°
Space group I4/mcm (No. 140)
Symmetry-distinct sites (fractional):
Sr 0.000 0.500 0.250 x4
Ru 0.000 0.000 0.000 x4
O 0.000 0.000 0.250 x4
O 0.201 0.299 0.000 x8

Simulated XRD peak list of Cr2AsSe for Cu Kα X-rays, from a GGA-PBE-relaxed structure.

Main lines, low angle first (10 to 80 degrees two-theta):
- 26.56 deg, intensity 4, hkl 1 0 0
- 32.43 deg, intensity 100, hkl 1 0 1
- 46.15 deg, intensity 63, hkl 1 0 2
- 46.89 deg, intensity 64, hkl 1 1 0
- 58.17 deg, intensity 18, hkl 2 0 1
- 61.20 deg, intensity 3, hkl 1 1 2
- 63.86 deg, intensity 15, hkl 1 0 3
- 67.90 deg, intensity 18, hkl 2 0 2
- 77.83 deg, intensity 16, hkl 2 1 1
- 78.87 deg, intensity 4, hkl 0 0 4

Cell and atoms:
Cell: 3.8753 3.8753 4.8548 Å, 90.00 90.00 120.00°
Space group P-6m2 (No. 187)
Symmetry-distinct sites (fractional):
Cr 0.0000 0.0000 0.2286 x2
As 0.6667 0.3333 0.0000 x1
Se 0.3333 0.6667 0.5000 x1

Simulated XRD peak list of TiZn2O4 for Cu Kα X-rays, from a GGA-PBE-relaxed structure.

Main lines, low angle first (10 to 80 degrees two-theta):
- 29.25 deg, intensity 17, hkl 0 4 0
- 29.60 deg, intensity 34, hkl 4 2 -1
- 34.53 deg, intensity 100, hkl 2 4 1
- 35.14 deg, intensity 50, hkl 6 0 1
- 41.85 deg, intensity 14, hkl 0 4 2
- 55.33 deg, intensity 31, hkl 2 4 -3
- 56.60 deg, intensity 14, hkl 10 0 -1
- 60.60 deg, intensity 11, hkl 0 0 4
- 61.40 deg, intensity 21, hkl 8 4 -2
- 61.54 deg, intensity 21, hkl 8 4 2

Cell and atoms:
Cell: 16.870 12.201 6.112 Å, 90.00 90.17 90.00°
Space group C2 (No. 5)
Symmetry-distinct sites (fractional):
Ti 0.000 0.000 0.000 x2
Ti 0.000 0.499 0.500 x2
Ti 0.124 0.133 0.749 x4
Ti 0.126 0.630 0.763 x4
Ti 0.248 0.762 0.498 x4
Zn 0.000 0.003 0.500 x2
Zn 0.000 0.502 0.000 x2
Zn 0.062 0.754 0.247 x4
Zn 0.063 0.255 0.244 x4
Zn 0.125 0.882 0.750 x4
Zn 0.126 0.382 0.757 x4
Zn 0.186 0.008 0.262 x4
Zn 0.188 0.508 0.256 x4
Zn 0.250 0.260 0.001 x4
O 0.001 0.394 0.266 x4
O 0.002 0.894 0.231 x4
O 0.008 0.123 0.766 x4
O 0.008 0.622 0.734 x4
O 0.117 0.514 0.518 x4
O 0.119 0.016 0.988 x4
O 0.122 0.012 0.534 x4
O 0.126 0.515 0.976 x4
O 0.126 0.749 0.969 x4
O 0.127 0.250 0.972 x4
O 0.132 0.245 0.516 x4
O 0.133 0.748 0.512 x4
O 0.242 0.140 0.738 x4
O 0.242 0.639 0.730 x4
O 0.249 0.367 0.268 x4
O 0.249 0.869 0.268 x4

Simulated XRD peak list of Fe46B3C9 for Cu Kα X-rays, from a GGA-PBE-relaxed structure.

Main lines, low angle first (10 to 80 degrees two-theta):
- 38.25 deg, intensity 28, hkl 3 1 0
- 38.34 deg, intensity 14, hkl 1 2 5
- 42.08 deg, intensity 36, hkl 3 3 2
- 44.75 deg, intensity 100, hkl 0 0 6
- 44.83 deg, intensity 73, hkl 3 0 3
- 48.97 deg, intensity 19, hkl 2 2 -4
- 49.04 deg, intensity 18, hkl 2 0 6
- 51.39 deg, intensity 25, hkl 4 1 1
- 51.48 deg, intensity 17, hkl -1 2 5
- 76.94 deg, intensity 17, hkl 3 0 9

Cell and atoms:
Cell: 7.429 7.435 12.865 Å, 73.44 73.37 60.05°
Space group P1 (No. 1)
Symmetry-distinct sites (fractional):
Fe 0.000 0.000 0.000 x1
Fe 0.000 0.662 0.338 x1
Fe 0.005 0.660 0.998 x1
Fe 0.021 0.021 0.594 x1
Fe 0.138 0.138 0.246 x1
Fe 0.159 0.506 0.498 x1
Fe 0.163 0.155 0.840 x1
Fe 0.164 0.501 0.840 x1
Fe 0.168 0.831 0.169 x1
Fe 0.170 0.491 0.169 x1
Fe 0.208 0.205 0.045 x1
Fe 0.254 0.792 0.361 x1
Fe 0.257 0.257 0.359 x1
Fe 0.292 0.753 0.862 x1
Fe 0.321 0.331 0.669 x1
Fe 0.331 0.669 0.669 x1
Fe 0.332 0.986 0.671 x1
Fe 0.374 0.903 0.477 x1
Fe 0.404 0.873 0.978 x1
Fe 0.407 0.406 0.978 x1
Fe 0.456 0.456 0.295 x1
Fe 0.486 0.832 0.172 x1
Fe 0.491 0.170 0.169 x1
Fe 0.499 0.161 0.839 x1
Fe 0.500 0.500 0.500 x1
Fe 0.506 0.160 0.498 x1
Fe 0.521 0.521 0.095 x1
Fe 0.637 0.640 0.744 x1
Fe 0.659 0.005 0.999 x1
Fe 0.661 0.661 0.339 x1
Fe 0.662 0.999 0.338 x1
Fe 0.667 0.331 0.669 x1
Fe 0.668 0.992 0.669 x1
Fe 0.707 0.706 0.544 x1
Fe 0.753 0.288 0.862 x1
Fe 0.756 0.760 0.860 x1
Fe 0.791 0.254 0.361 x1
Fe 0.828 0.828 0.167 x1
Fe 0.831 0.168 0.169 x1
Fe 0.832 0.486 0.172 x1
Fe 0.875 0.401 0.980 x1
Fe 0.903 0.374 0.476 x1
Fe 0.907 0.908 0.476 x1
Fe 0.958 0.956 0.794 x1
Fe 0.985 0.330 0.669 x1
Fe 0.990 0.675 0.667 x1
B 0.195 0.194 0.531 x1
B 0.694 0.694 0.033 x1
B 0.920 0.468 0.807 x1
C 0.193 0.749 0.530 x1
C 0.248 0.692 0.031 x1
C 0.414 0.970 0.309 x1
C 0.471 0.469 0.808 x1
C 0.472 0.912 0.809 x1
C 0.692 0.248 0.031 x1
C 0.749 0.192 0.531 x1
C 0.970 0.969 0.308 x1
C 0.971 0.414 0.309 x1